[1]
Simulated powder XRD pattern of NiSnPd6 for copper Kα, from a cell relaxed with GGA-PBE.

Principal peaks in the range 2θ = 15–90°, by angle:
index	2θ (°)	I/Imax
1 1 2	39.4	100
2 0 0	45.5	33
0 0 4	46.5	15
2 2 0	66.4	11
2 0 4	67.1	20
3 1 2	80.0	25
1 1 6	81.4	11
2 2 4	84.9	10

Cell and atoms:
a b c (Å): 3.9840 3.9840 7.8146
angles (deg): 90.00 90.00 90.00
Fractional positions:
Ni1 0.0000 0.0000 0.0000
Sn1 0.0000 0.0000 0.5000
Pd1 0.0000 0.5000 0.2403
Pd2 0.0000 0.5000 0.7597
Pd3 0.5000 0.0000 0.2403
Pd4 0.5000 0.0000 0.7597
Pd5 0.5000 0.5000 0.0000
Pd6 0.5000 0.5000 0.5000

---

[2]
Simulated powder XRD pattern of NiSn4Pd2 for copper Kα, from a cell relaxed with GGA-PBE.

Principal peaks in the range 2θ = 15–90°, by angle:
index	2θ (°)	I/Imax
-1 1 1	31.3	100
1 1 0	31.4	53
0 2 1	39.9	28
1 -1 2	42.0	25
1 1 -3	42.2	24
1 -3 1	47.3	24
1 3 -2	47.8	24
2 0 -1	49.5	25

Cell and atoms:
a b c (Å): 3.6846 6.7201 6.8665
angles (deg): 116.63 105.18 90.64
Fractional positions:
Ni1 0.0000 0.0000 0.0000
Sn1 0.0895 0.4394 0.1860
Sn2 0.3711 0.0472 0.7398
Sn3 0.6289 0.9528 0.2602
Sn4 0.9105 0.5606 0.8140
Pd1 0.2540 0.2924 0.5019
Pd2 0.7460 0.7076 0.4981

---

[3]
Simulated powder XRD pattern of NiSnPd3 for copper Kα, from a cell relaxed with GGA-PBE.

Principal peaks in the range 2θ = 15–90°, by angle:
index	2θ (°)	I/Imax
0 2 -1	39.1	32
1 2 2	39.5	100
-1 2 1	44.1	24
1 0 3	46.1	20
2 2 0	47.2	19
0 2 4	66.1	7
3 0 -1	66.9	7
3 4 2	82.6	7

Cell and atoms:
a b c (Å): 4.7718 5.6450 6.2312
angles (deg): 76.74 75.65 76.47
Fractional positions:
Ni1 0.0000 0.0000 0.0000
Ni2 0.0000 0.5000 0.0000
Sn1 0.2216 0.2683 0.6197
Sn2 0.7784 0.7317 0.3803
Pd1 0.1906 0.7800 0.6130
Pd2 0.3743 0.5962 0.1994
Pd3 0.3910 0.1039 0.1899
Pd4 0.6090 0.8961 0.8101
Pd5 0.6257 0.4038 0.8006
Pd6 0.8094 0.2200 0.3870

---

[4]
Simulated powder XRD pattern of Sr8Ni2Pd for copper Kα, from a cell relaxed with GGA-PBE.

Principal peaks in the range 2θ = 15–90°, by angle:
index	2θ (°)	I/Imax
1 1 1	17.6	22
0 2 1	19.1	25
0 2 2	22.1	28
1 2 2	26.1	100
2 0 0	27.6	30
2 2 0	35.7	47
0 4 2	38.8	59
2 4 2	48.3	37

Cell and atoms:
a b c (Å): 6.4543 9.2846 9.2909
angles (deg): 60.03 89.99 90.00
Fractional positions:
Sr1 0.2439 0.3333 0.3336
Sr2 0.2535 0.3197 0.8395
Sr3 0.2535 0.8392 0.8410
Sr4 0.2535 0.8410 0.3196
Sr5 0.7465 0.1590 0.6804
Sr6 0.7465 0.1608 0.1590
Sr7 0.7465 0.6803 0.1605
Sr8 0.7561 0.6667 0.6664
Ni1 0.2614 0.6667 0.6664
Ni2 0.7386 0.3333 0.3336
Pd1 0.5000 0.0000 0.0000